Theoretical X-ray diffraction stick pattern of Sm3Si2Cl5O6 for copper Kα, from the GGA-PBE geometry in Alexandria.
Neutral-atom scattering factors, no anomalous dispersion.

Largest 12 diffraction maxima, low angle first, 2θ from 15° to 90°:
| d (Å) | I_rel |
| --- | --- |
| 5.324 | 100 |
| 5.238 | 54 |
| 3.899 | 39 |
| 3.734 | 40 |
| 3.529 | 34 |
| 2.687 | 26 |
| 2.662 | 29 |
| 2.504 | 31 |
| 2.399 | 22 |
| 2.373 | 34 |
| 2.198 | 25 |
| 2.043 | 35 |

```
Sm3Si2Cl5O6
1.0
5.3740 -5.3238 0.0000
5.3740 5.3238 0.0000
-2.7139 0.0000 11.6971
Sm Si Cl O
6 4 10 12
Cartesian
1.3300 2.6619 5.8485
1.3294 2.6717 9.7218
6.7047 2.6717 1.9752
1.3300 -2.6619 5.8485
1.3294 -2.6717 9.7218
6.7047 -2.6717 1.9752
4.0175 3.7788 4.1884
4.0167 3.7788 7.5087
4.0175 -3.7788 4.1884
4.0167 -3.7788 7.5087
4.0221 2.9985 0.9270
1.9545 0.0000 1.9075
2.0261 0.0000 5.8679
4.0120 2.9985 10.7700
1.7561 0.0000 10.0467
6.2780 0.0000 1.6503
4.0221 -2.9985 0.9270
6.0080 0.0000 5.8291
6.0796 0.0000 9.7895
4.0120 -2.9985 10.7700
2.6162 3.0352 3.8350
-1.3682 0.0000 8.0224
2.6217 3.0224 7.8625
4.0171 3.7411 5.8485
5.4125 3.0224 3.8345
5.4180 3.0352 7.8620
2.6162 -3.0352 3.8350
2.6217 -3.0224 7.8625
4.0171 -3.7411 5.8485
5.4125 -3.0224 3.8345
9.4023 0.0000 3.6747
5.4180 -3.0352 7.8620
```